(1)
# Al4Cu2O7
Calculated powder X-ray diffraction pattern, Cu Kα, 1.54184 Å. Input: the GGA-PBE geometry in the Materials Project.

Structural model:
Lattice parameters (Å, degrees): 5.9944 5.9944 5.9944 60.00 60.00 60.00
Fractional coordinates of all 13 atoms:
Al1 0.3803 0.3803 0.3803
Al2 0.3803 0.3803 0.8590
Al3 0.3803 0.8590 0.3803
Al4 0.8590 0.3803 0.3803
Cu1 0.0000 0.0000 0.0000
Cu2 0.7500 0.7500 0.7500
O1 0.2500 0.2500 0.2500
O2 0.2594 0.2594 0.7406
O3 0.2594 0.7406 0.2594
O4 0.2594 0.7406 0.7406
O5 0.7406 0.2594 0.2594
O6 0.7406 0.2594 0.7406
O7 0.7406 0.7406 0.2594

Most intense lines, 2θ = 10–90°, in order of rising 2θ:
d [Å], I (rel.)
2.997, 58
2.556, 100
2.447, 36
2.119, 14
1.730, 22
1.631, 31
1.499, 51
1.104, 20

***

(2)
# Co4CN4
Calculated powder X-ray diffraction pattern, Cu Kα, 1.54184 Å. Input: the GGA-PBE geometry in the Materials Project.

Structural model:
Lattice parameters (Å, degrees): 9.6755 2.7632 11.4633 90.00 90.00 90.00
Fractional coordinates of all 36 atoms:
Co1 0.0612 0.2500 0.1431
Co2 0.1142 0.7500 0.3489
Co3 0.1359 0.2500 0.6006
Co4 0.1834 0.7500 0.7745
Co5 0.3166 0.2500 0.2745
Co6 0.3641 0.7500 0.1006
Co7 0.3858 0.2500 0.8489
Co8 0.4388 0.7500 0.6431
Co9 0.5612 0.2500 0.3569
Co10 0.6142 0.7500 0.1511
Co11 0.6359 0.2500 0.8994
Co12 0.6834 0.7500 0.7255
Co13 0.8166 0.2500 0.2255
Co14 0.8641 0.7500 0.3994
Co15 0.8858 0.2500 0.6511
Co16 0.9388 0.7500 0.8569
C1 0.1485 0.2500 0.9933
C2 0.3515 0.7500 0.4933
C3 0.6485 0.2500 0.5067
C4 0.8515 0.7500 0.0067
N1 0.0168 0.7500 0.6679
N2 0.0795 0.2500 0.8909
N3 0.2103 0.7500 0.2040
N4 0.2120 0.7500 0.4953
N5 0.2880 0.2500 0.9953
N6 0.2897 0.2500 0.7040
N7 0.4205 0.7500 0.3909
N8 0.4832 0.2500 0.1679
N9 0.5168 0.7500 0.8321
N10 0.5795 0.2500 0.6091
N11 0.7103 0.7500 0.2960
N12 0.7120 0.7500 0.0047
N13 0.7880 0.2500 0.5047
N14 0.7897 0.2500 0.7960
N15 0.9205 0.7500 0.1091
N16 0.9832 0.2500 0.3321

Most intense lines, 2θ = 10–90°, in order of rising 2θ:
d [Å], I (rel.)
5.732, 64
2.466, 43
2.411, 100
2.367, 39
2.239, 33
2.213, 37
2.072, 36
1.839, 61

***

(3)
# CdHg2
Calculated powder X-ray diffraction pattern, Cu Kα, 1.54184 Å. Input: the GGA-PBE geometry in the Materials Project.

Structural model:
Lattice parameters (Å, degrees): 9.0512 8.7649 3.2929 84.29 74.49 21.22
Fractional coordinates of all 3 atoms:
Cd1 0.0000 0.0000 0.0000
Hg1 0.3351 0.3351 0.6649
Hg2 0.6649 0.6649 0.3351

Most intense lines, 2θ = 10–90°, in order of rising 2θ:
d [Å], I (rel.)
2.866, 37
2.824, 32
2.592, 100
2.012, 24
1.597, 23
1.582, 22
1.296, 12
1.247, 10

***

(4)
# CeInCu2
Calculated powder X-ray diffraction pattern, Cu Kα, 1.54184 Å. Input: the GGA-PBE geometry in the Materials Project.

Structural model:
Lattice parameters (Å, degrees): 4.7705 4.7705 4.7705 60.00 60.00 60.00
Fractional coordinates of all 4 atoms:
Ce1 0.0000 0.0000 0.0000
In1 0.5000 0.5000 0.5000
Cu1 0.2500 0.2500 0.2500
Cu2 0.7500 0.7500 0.7500

Most intense lines, 2θ = 10–90°, in order of rising 2θ:
d [Å], I (rel.)
3.373, 11
2.385, 100
1.948, 3
1.687, 17
1.509, 5
1.377, 33
1.193, 10
1.124, 2

***

(5)
# EuTiNbSnO6
Calculated powder X-ray diffraction pattern, Cu Kα, 1.54184 Å. Input: the GGA-PBE geometry in the Materials Project.

Structural model:
Lattice parameters (Å, degrees): 5.6805 5.6805 5.6805 60.00 60.00 60.00
Fractional coordinates of all 10 atoms:
Eu1 0.0000 0.0000 0.0000
Ti1 0.2500 0.2500 0.2500
Nb1 0.7500 0.7500 0.7500
Sn1 0.5000 0.5000 0.5000
O1 0.0027 0.0027 0.4973
O2 0.0027 0.4973 0.0027
O3 0.0027 0.4973 0.4973
O4 0.4973 0.0027 0.0027
O5 0.4973 0.0027 0.4973
O6 0.4973 0.4973 0.0027

Most intense lines, 2θ = 10–90°, in order of rising 2θ:
d [Å], I (rel.)
4.017, 7
2.840, 100
2.319, 14
2.008, 32
1.640, 40
1.420, 20
1.270, 17
1.160, 7

***

(6)
# YMg14Cu
Calculated powder X-ray diffraction pattern, Cu Kα, 1.54184 Å. Input: the GGA-PBE geometry in the Materials Project.

Structural model:
Lattice parameters (Å, degrees): 10.2507 6.4778 6.4778 57.49 90.00 90.00
Fractional coordinates of all 16 atoms:
Y1 0.0000 0.0000 0.0000
Mg1 0.0000 0.0132 0.4904
Mg2 0.0000 0.4904 0.0132
Mg3 0.2236 0.6356 0.6356
Mg4 0.2500 0.1473 0.6455
Mg5 0.2500 0.6455 0.1473
Mg6 0.2593 0.1496 0.1496
Mg7 0.5000 0.4849 0.4849
Mg8 0.5000 0.4877 0.9788
Mg9 0.5000 0.9788 0.4877
Mg10 0.5000 0.9815 0.9815
Mg11 0.7407 0.1496 0.1496
Mg12 0.7500 0.1473 0.6455
Mg13 0.7500 0.6455 0.1473
Mg14 0.7764 0.6356 0.6356
Cu1 0.0000 0.4633 0.4633

Most intense lines, 2θ = 10–90°, in order of rising 2θ:
d [Å], I (rel.)
4.968, 19
2.732, 40
2.563, 41
2.484, 61
2.410, 100
1.869, 20
1.448, 18
1.368, 21

***

(7)
# NbSnP3O12
Calculated powder X-ray diffraction pattern, Cu Kα, 1.54184 Å. Input: the GGA-PBE geometry in the Materials Project.

Structural model:
Lattice parameters (Å, degrees): 9.1075 9.1075 9.1075 57.63 57.63 57.63
Fractional coordinates of all 34 atoms:
Nb1 0.0000 0.0000 0.0000
Nb2 0.5000 0.5000 0.5000
Sn1 0.2127 0.2127 0.2127
Sn2 0.7127 0.7127 0.7127
P1 0.1045 0.8237 0.3963
P2 0.3237 0.6045 0.8963
P3 0.3963 0.1045 0.8237
P4 0.6045 0.8963 0.3237
P5 0.8237 0.3963 0.1045
P6 0.8963 0.3237 0.6045
O1 0.0720 0.2887 0.4390
O2 0.0851 0.8531 0.2221
O3 0.1298 0.9884 0.3735
O4 0.1487 0.7818 0.9233
O5 0.2221 0.0851 0.8531
O6 0.2818 0.6487 0.4233
O7 0.2887 0.4390 0.0720
O8 0.3531 0.5851 0.7221
O9 0.3735 0.1298 0.9884
O10 0.4233 0.2818 0.6487
O11 0.4390 0.0720 0.2887
O12 0.4884 0.6298 0.8735
O13 0.5720 0.9390 0.7887
O14 0.5851 0.7221 0.3531
O15 0.6298 0.8735 0.4884
O16 0.6487 0.4233 0.2818
O17 0.7221 0.3531 0.5851
O18 0.7818 0.9233 0.1487
O19 0.7887 0.5720 0.9390
O20 0.8531 0.2221 0.0851
O21 0.8735 0.4884 0.6298
O22 0.9233 0.1487 0.7818
O23 0.9390 0.7887 0.5720
O24 0.9884 0.3735 0.1298

Most intense lines, 2θ = 10–90°, in order of rising 2θ:
d [Å], I (rel.)
6.317, 47
4.548, 100
4.389, 70
3.797, 57
3.158, 62
2.866, 50
2.564, 29
2.534, 27